Ba2MgNbN4: calculated powder diffraction line list (Cu Kα X-rays), based on a PBE-relaxed structure.

The 10 most intense peaks (2θ = 5–70°), sorted by position:
2theta, d/Å, intensity, index
19.8, 4.483, 17, 1 0 1
27.5, 3.243, 32, 0 0 2
28.8, 3.101, 36, 2 0 0
31.0, 2.888, 100, 1 2 1
36.5, 2.460, 11, 0 2 2
40.2, 2.241, 30, 2 0 2
48.2, 1.888, 11, 0 4 0
50.8, 1.796, 21, 1 2 3
52.4, 1.746, 23, 3 2 1
64.5, 1.444, 14, 2 4 2

abc: 6.2022 7.5531 6.4863
angles: 90.00 90.00 90.00
Space group Pmmn (No. 59, origin choice 2)
Inequivalent atoms, fractional coordinates:
Ba 0.2500 0.0002 0.2448
Mg 0.2500 0.2500 0.7991
Nb 0.2500 0.7500 0.8048
N 0.0039 0.7500 0.9897
N 0.2500 0.5140 0.6639

Ba2MgNb6N2O14: calculated powder diffraction line list (Cu Kα X-rays), based on a PBE-relaxed structure.

The 10 most intense peaks (2θ = 5–70°), sorted by position:
2theta, d/Å, intensity, index
8.3, 10.640, 57, 2 0 0
24.1, 3.692, 28, 4 0 -2
25.7, 3.465, 29, 3 1 0
27.0, 3.301, 100, 4 0 2
28.0, 3.185, 38, 3 1 1
30.4, 2.944, 59, 1 1 2
31.6, 2.833, 35, 5 1 -1
41.1, 2.197, 36, 6 0 3
42.4, 2.132, 27, 8 0 -3
45.7, 1.986, 42, 0 2 0

abc: 21.4210 3.9713 9.2480
angles: 90.00 96.57 90.00
Space group Cm (No. 8)
Inequivalent atoms, fractional coordinates:
Ba 0.0000 0.0000 0.0000
Ba 0.1278 0.0000 0.4003
Mg 0.1962 0.0000 0.9287
Nb 0.2554 0.5000 0.7325
Nb 0.2624 0.5000 0.1628
Nb 0.3542 0.0000 0.9551
Nb 0.3863 0.5000 0.4870
Nb 0.4714 0.0000 0.3155
Nb 0.4976 0.0000 0.6701
N 0.3247 0.5000 0.3215
N 0.4175 0.0000 0.5026
O 0.0460 0.5000 0.2204
O 0.0478 0.5000 0.8522
O 0.0495 0.5000 0.5192
O 0.1886 0.5000 0.2459
O 0.1938 0.5000 0.5812
O 0.2000 0.5000 0.9140
O 0.2651 0.0000 0.0979
O 0.2650 0.0000 0.7914
O 0.3316 0.5000 0.6391
O 0.3323 0.5000 0.9760
O 0.4147 0.0000 0.1337
O 0.4170 0.0000 0.8373
O 0.4669 0.5000 0.3398
O 0.4798 0.5000 0.6775

Ba2MgNb6N2O14: calculated powder diffraction line list (Cu Kα X-rays), based on a PBE-relaxed structure.

The 10 most intense peaks (2θ = 5–70°), sorted by position:
2theta, d/Å, intensity, index
25.6, 3.474, 74, 3 1 0
25.9, 3.440, 100, 4 0 -2
26.2, 3.399, 60, 4 0 2
27.4, 3.252, 30, 3 1 -1
27.6, 3.236, 48, 3 1 1
30.0, 2.975, 97, 1 1 2
30.9, 2.890, 63, 5 1 0
34.5, 2.602, 27, 8 0 0
45.2, 2.007, 47, 0 2 0
46.3, 1.962, 28, 8 0 3

abc: 20.8143 4.0142 9.0750
angles: 90.00 90.70 90.00
Space group Cm (No. 8)
Inequivalent atoms, fractional coordinates:
Ba 0.0000 0.0000 0.0000
Ba 0.0330 0.0000 0.5245
Mg 0.2389 0.0000 0.3352
Nb 0.1458 0.5000 0.2021
Nb 0.1550 0.5000 0.8345
Nb 0.2563 0.0000 0.9958
Nb 0.2929 0.5000 0.5462
Nb 0.3858 0.0000 0.7044
Nb 0.3888 0.0000 0.3118
N 0.2254 0.5000 0.0180
N 0.3167 0.0000 0.8490
O 0.0807 0.5000 0.3385
O 0.0878 0.5000 0.6954
O 0.0929 0.5000 0.0198
O 0.1619 0.0000 0.1995
O 0.1658 0.0000 0.8601
O 0.2249 0.5000 0.3662
O 0.2286 0.5000 0.6810
O 0.3043 0.0000 0.5063
O 0.3072 0.0000 0.1850
O 0.3711 0.5000 0.3499
O 0.3839 0.5000 0.6680
O 0.4393 0.0000 0.4979
O 0.4510 0.0000 0.1736
O 0.4575 0.0000 0.8279

Ba2MgNb6N2O14: calculated powder diffraction line list (Cu Kα X-rays), based on a PBE-relaxed structure.

The 10 most intense peaks (2θ = 5–70°), sorted by position:
2theta, d/Å, intensity, index
13.5, 6.567, 36, 1 0 1
24.1, 3.698, 71, 1 1 0
24.5, 3.628, 38, 2 0 -2
27.2, 3.284, 79, 2 0 2
28.1, 3.176, 51, 1 0 -3
28.9, 3.090, 42, 0 1 2
29.8, 2.999, 100, 2 1 -1
30.9, 2.893, 66, 1 1 2
35.6, 2.520, 58, 0 1 3
45.4, 1.999, 61, 0 2 0

abc: 9.7845 3.9971 9.7886
angles: 90.00 95.70 90.00
Space group Pm (No. 6)
Inequivalent atoms, fractional coordinates:
Ba 0.0000 0.0000 0.0000
Ba 0.1073 0.0000 0.3951
Mg 0.1730 0.5000 0.7045
Nb 0.3751 0.0000 0.0706
Nb 0.4190 0.0000 0.7260
Nb 0.5908 0.5000 0.9140
Nb 0.6451 0.0000 0.4205
Nb 0.8103 0.5000 0.2484
Nb 0.8615 0.5000 0.6475
N 0.5395 0.0000 0.9191
N 0.7396 0.5000 0.0657
O 0.0169 0.5000 0.5364
O 0.2251 0.0000 0.6433
O 0.2314 0.0000 0.1776
O 0.2560 0.0000 0.9070
O 0.3974 0.5000 0.7477
O 0.4245 0.5000 0.0631
O 0.5182 0.0000 0.5692
O 0.5211 0.0000 0.2698
O 0.7008 0.5000 0.4446
O 0.7092 0.5000 0.7673
O 0.8235 0.0000 0.3025
O 0.8253 0.0000 0.6051
O 0.9955 0.5000 0.8047
O 0.9981 0.5000 0.2152

Ba2MgNb6N2O14: calculated powder diffraction line list (Cu Kα X-rays), based on a PBE-relaxed structure.

The 10 most intense peaks (2θ = 5–70°), sorted by position:
2theta, d/Å, intensity, index
8.4, 10.521, 56, 2 0 0
16.9, 5.261, 31, 4 0 0
19.4, 4.566, 54, 4 0 1
25.7, 3.464, 71, 4 0 -2
27.4, 3.256, 100, 3 1 1
29.9, 2.992, 87, 1 1 -2
30.4, 2.944, 32, 2 0 3
32.3, 2.773, 44, 5 1 -1
39.1, 2.304, 37, 6 0 3
45.2, 2.005, 42, 0 2 0

abc: 21.0422 4.0098 9.2012
angles: 90.00 90.15 90.00
Space group Cm (No. 8)
Inequivalent atoms, fractional coordinates:
Ba 0.0000 0.0000 0.0000
Ba 0.1418 0.0000 0.5153
Mg 0.4452 0.5000 0.5227
Nb 0.1504 0.5000 0.1993
Nb 0.1580 0.5000 0.8285
Nb 0.2527 0.0000 0.0282
Nb 0.2833 0.5000 0.5194
Nb 0.3737 0.0000 0.7163
Nb 0.3862 0.0000 0.3145
N 0.2234 0.5000 0.6719
N 0.3126 0.0000 0.5159
O 0.0896 0.5000 0.3407
O 0.0913 0.5000 0.6999
O 0.0977 0.5000 0.0221
O 0.1673 0.0000 0.1821
O 0.1694 0.0000 0.8683
O 0.2209 0.5000 0.3637
O 0.2310 0.5000 0.0226
O 0.3114 0.0000 0.8697
O 0.3115 0.0000 0.1812
O 0.3734 0.5000 0.6713
O 0.3820 0.5000 0.3551
O 0.4447 0.0000 0.5109
O 0.4479 0.0000 0.8283
O 0.4492 0.0000 0.1757

Ba2MgNb6N2O14: calculated powder diffraction line list (Cu Kα X-rays), based on a PBE-relaxed structure.

The 10 most intense peaks (2θ = 5–70°), sorted by position:
2theta, d/Å, intensity, index
13.0, 6.833, 51, 2 0 -1
25.6, 3.476, 77, 3 1 0
26.0, 3.428, 97, 4 0 -2
26.2, 3.403, 68, 4 0 2
27.5, 3.245, 73, 3 1 1
30.0, 2.974, 100, 1 1 2
30.9, 2.890, 66, 5 1 0
34.5, 2.600, 28, 8 0 0
45.1, 2.009, 47, 0 2 0
52.8, 1.733, 28, 4 2 -2

abc: 20.7997 4.0180 9.0589
angles: 90.00 90.43 90.00
Space group Cm (No. 8)
Inequivalent atoms, fractional coordinates:
Ba 0.0000 0.0000 0.0000
Ba 0.0335 0.0000 0.5168
Mg 0.2934 0.5000 0.1831
Nb 0.1451 0.5000 0.8194
Nb 0.1463 0.5000 0.2115
Nb 0.2392 0.0000 0.9730
Nb 0.2762 0.5000 0.5156
Nb 0.3800 0.0000 0.6884
Nb 0.3853 0.0000 0.3215
N 0.2226 0.5000 0.3425
N 0.3084 0.0000 0.5036
O 0.0769 0.5000 0.6872
O 0.0798 0.5000 0.3407
O 0.0950 0.5000 0.0077
O 0.1516 0.0000 0.8339
O 0.1606 0.0000 0.1573
O 0.2183 0.5000 0.6729
O 0.2296 0.5000 0.0090
O 0.3034 0.0000 0.8357
O 0.3078 0.0000 0.1521
O 0.3683 0.5000 0.3269
O 0.3703 0.5000 0.6646
O 0.4403 0.0000 0.5014
O 0.4462 0.0000 0.8288
O 0.4505 0.0000 0.1837

Ba2MgP2N6: calculated powder diffraction line list (Cu Kα X-rays), based on a PBE-relaxed structure.

The 10 most intense peaks (2θ = 5–70°), sorted by position:
2theta, d/Å, intensity, index
20.4, 4.362, 56, 0 1 2
27.0, 3.299, 20, 1 0 4
30.8, 2.907, 100, 1 1 0
31.2, 2.870, 89, 0 1 5
34.5, 2.601, 21, 1 1 3
37.2, 2.419, 36, 2 0 2
41.4, 2.181, 21, 0 2 4
44.4, 2.042, 27, 2 0 5
54.9, 1.671, 30, 1 2 5
57.1, 1.614, 24, 1 1 9

abc: 5.8133 5.8133 17.4705
angles: 90.00 90.00 120.00
Space group R-3m (No. 166, hexagonal axes)
Inequivalent atoms, fractional coordinates:
Ba 0.0000 0.0000 0.2159
Mg 0.0000 0.0000 0.0000
P 0.0000 0.0000 0.4109
N 0.0204 0.5102 0.2560

Ba4MgSi2N6: calculated powder diffraction line list (Cu Kα X-rays), based on a PBE-relaxed structure.

The 10 most intense peaks (2θ = 5–70°), sorted by position:
2theta, d/Å, intensity, index
17.2, 5.152, 32, 0 0 4
23.9, 3.718, 29, 2 0 2
27.2, 3.276, 100, 2 2 0
30.3, 2.948, 87, 0 2 6
31.1, 2.874, 63, 0 4 0
32.4, 2.764, 57, 2 2 4
34.5, 2.602, 69, 2 0 6
47.1, 1.929, 52, 2 4 6
55.7, 1.651, 23, 4 2 6
56.2, 1.638, 28, 4 4 0

abc: 7.9735 11.4965 20.6061
angles: 90.00 90.00 90.00
Space group Fddd (No. 70, origin choice 2)
Inequivalent atoms, fractional coordinates:
Ba 0.1250 0.1250 0.2748
Ba 0.1250 0.1250 0.4565
Mg 0.1250 0.1250 0.6250
Si 0.0327 0.3750 0.3750
N 0.0860 0.3708 0.9431
N 0.1250 0.0103 0.1250

Ba2MgTaN4: calculated powder diffraction line list (Cu Kα X-rays), based on a PBE-relaxed structure.

The 10 most intense peaks (2θ = 5–70°), sorted by position:
2theta, d/Å, intensity, index
18.0, 4.917, 21, 0 1 1
18.5, 4.789, 22, 1 1 0
27.5, 3.245, 30, 0 0 2
28.8, 3.101, 36, 2 0 0
31.0, 2.884, 100, 1 2 1
40.2, 2.242, 28, 2 0 2
48.3, 1.884, 10, 0 4 0
50.9, 1.796, 18, 1 2 3
52.4, 1.746, 24, 3 2 1
64.6, 1.442, 13, 2 4 2

abc: 6.2029 7.5344 6.4891
angles: 90.00 90.00 90.00
Space group Pmmn (No. 59, origin choice 2)
Inequivalent atoms, fractional coordinates:
Ba 0.2500 0.0002 0.2461
Mg 0.2500 0.2500 0.8009
Ta 0.2500 0.7500 0.8057
N 0.0044 0.7500 0.9893
N 0.2500 0.5152 0.6651

Ba2MgVN4: calculated powder diffraction line list (Cu Kα X-rays), based on a PBE-relaxed structure.

The 10 most intense peaks (2θ = 5–70°), sorted by position:
2theta, d/Å, intensity, index
20.2, 4.388, 42, 1 0 1
24.2, 3.674, 17, 0 2 0
27.9, 3.194, 37, 0 0 2
29.6, 3.018, 36, 2 0 0
31.8, 2.817, 100, 1 2 1
37.3, 2.411, 21, 0 2 2
38.6, 2.332, 17, 2 2 0
41.1, 2.194, 32, 2 0 2
51.9, 1.762, 21, 1 2 3
53.9, 1.701, 22, 3 2 1

abc: 6.0355 7.3476 6.3897
angles: 90.00 90.00 90.00
Space group Pmmn (No. 59, origin choice 2)
Inequivalent atoms, fractional coordinates:
Ba 0.2500 0.0014 0.2481
Mg 0.2500 0.2500 0.8036
V 0.2500 0.7500 0.8152
N 0.0119 0.7500 0.9861
N 0.2500 0.5279 0.6775